No. 1
Calculated powder diffraction line list of Cs4GeP4S12 for Cu Kα (weighted mean of Kα1 and Kα2), from a crystal structure in the Materials Project, relaxed with PBE.
Peak positions follow from Bragg's law for the DFT cell and can differ from measured ones.

Cell and atoms:
```
Cs4GeP4S12
1.0
6.471 -4.259 0.000
6.471 4.259 0.000
-5.189 0.000 24.170
Cs Ge P S
8 2 8 24
Direct
0.038 0.151 0.187
0.151 0.038 0.687
0.295 0.322 0.449
0.322 0.295 0.949
0.678 0.705 0.051
0.705 0.678 0.551
0.849 0.962 0.313
0.962 0.849 0.813
0.494 0.506 0.250
0.506 0.494 0.750
0.232 0.601 0.131
0.289 0.426 0.616
0.399 0.768 0.369
0.426 0.289 0.116
0.574 0.711 0.884
0.601 0.232 0.631
0.711 0.574 0.384
0.768 0.399 0.869
0.023 0.631 0.174
0.145 0.267 0.578
0.171 0.715 0.062
0.223 0.507 0.703
0.256 0.651 0.581
0.267 0.145 0.078
0.285 0.829 0.438
0.299 0.565 0.315
0.349 0.744 0.919
0.369 0.977 0.326
0.435 0.701 0.185
0.493 0.777 0.797
0.507 0.223 0.203
0.565 0.299 0.815
0.631 0.023 0.674
0.651 0.256 0.081
0.701 0.435 0.685
0.715 0.171 0.562
0.733 0.855 0.922
0.744 0.349 0.419
0.777 0.493 0.297
0.829 0.285 0.938
0.855 0.733 0.422
0.977 0.369 0.826
```

Main lines, by angle (2θ from 10° to 80°):
| 2θ/deg | d [Å] | Rel. int. |
| --- | --- | --- |
| 18.2 | 4.884 | 58 |
| 23.3 | 3.818 | 73 |
| 27.1 | 3.289 | 100 |
| 29.5 | 3.024 | 50 |
| 31.7 | 2.825 | 36 |
| 34.7 | 2.588 | 37 |

***

No. 2
Calculated powder diffraction line list of CsSmGeS4 for Cu Kα (weighted mean of Kα1 and Kα2), from a crystal structure in the Materials Project, relaxed with PBE.
Peak positions follow from Bragg's law for the DFT cell and can differ from measured ones.

Cell and atoms:
```
CsSmGeS4
1.0
6.591 0.000 0.000
0.000 6.861 0.000
0.000 0.000 18.086
Cs Sm Ge S
4 4 4 16
Direct
0.005 0.006 0.032
0.495 0.994 0.532
0.505 0.494 0.968
0.995 0.506 0.468
0.207 0.020 0.773
0.293 0.980 0.273
0.707 0.480 0.227
0.793 0.520 0.727
0.208 0.515 0.167
0.292 0.485 0.667
0.708 0.985 0.833
0.792 0.015 0.333
0.059 0.011 0.406
0.062 0.249 0.647
0.100 0.753 0.655
0.101 0.581 0.281
0.399 0.419 0.781
0.400 0.247 0.155
0.438 0.751 0.147
0.441 0.989 0.906
0.559 0.489 0.594
0.562 0.251 0.353
0.600 0.747 0.345
0.601 0.919 0.719
0.899 0.081 0.219
0.900 0.253 0.845
0.938 0.749 0.853
0.941 0.511 0.094
```

Main lines, by angle (2θ from 10° to 80°):
| 2θ/deg | d [Å] | Rel. int. |
| --- | --- | --- |
| 19.3 | 4.597 | 79 |
| 23.6 | 3.775 | 85 |
| 26.0 | 3.431 | 100 |
| 27.2 | 3.276 | 61 |
| 28.8 | 3.096 | 97 |
| 39.2 | 2.298 | 99 |

***

No. 3
Calculated powder diffraction line list of CsTaGeS5 for Cu Kα (weighted mean of Kα1 and Kα2), from a crystal structure in the Materials Project, relaxed with PBE.
Peak positions follow from Bragg's law for the DFT cell and can differ from measured ones.

Cell and atoms:
```
CsTaGeS5
1.0
7.062 0.000 0.000
1.957 7.226 0.000
2.068 3.247 8.729
Cs Ta Ge S
2 2 2 10
Direct
0.105 0.351 0.312
0.895 0.649 0.688
0.260 0.972 0.996
0.740 0.028 0.004
0.477 0.702 0.372
0.523 0.298 0.628
0.062 0.784 0.969
0.191 0.862 0.286
0.289 0.120 0.711
0.423 0.610 0.634
0.430 0.239 0.986
0.570 0.761 0.014
0.577 0.390 0.366
0.711 0.880 0.289
0.809 0.138 0.714
0.938 0.216 0.031
```

Main lines, by angle (2θ from 10° to 80°):
| 2θ/deg | d [Å] | Rel. int. |
| --- | --- | --- |
| 10.1 | 8.729 | 41 |
| 13.5 | 6.575 | 100 |
| 19.2 | 4.627 | 58 |
| 24.7 | 3.609 | 66 |
| 27.0 | 3.298 | 98 |
| 30.7 | 2.910 | 68 |

***

No. 4
Calculated powder diffraction line list of Cs2ZnGe3Se8 for Cu Kα (weighted mean of Kα1 and Kα2), from a crystal structure in the Materials Project, relaxed with PBE.
Peak positions follow from Bragg's law for the DFT cell and can differ from measured ones.

Cell and atoms:
```
Cs2ZnGe3Se8
1.0
7.801 0.000 0.000
0.000 13.776 0.000
0.000 0.000 18.029
Cs Zn Ge Se
8 4 12 32
Direct
0.246 0.191 0.347
0.248 0.127 0.947
0.252 0.873 0.447
0.254 0.809 0.847
0.746 0.309 0.653
0.748 0.373 0.053
0.752 0.627 0.553
0.754 0.691 0.153
0.007 0.997 0.652
0.493 0.003 0.152
0.507 0.503 0.348
0.993 0.497 0.848
0.016 0.519 0.347
0.235 0.545 0.678
0.237 0.554 0.017
0.263 0.446 0.517
0.265 0.455 0.178
0.484 0.481 0.847
0.516 0.981 0.653
0.735 0.955 0.322
0.737 0.946 0.983
0.763 0.054 0.483
0.765 0.045 0.822
0.984 0.019 0.153
0.003 0.412 0.240
0.005 0.405 0.451
0.009 0.104 0.764
0.013 0.107 0.541
0.236 0.114 0.150
0.236 0.376 0.640
0.239 0.382 0.845
0.240 0.386 0.055
0.260 0.614 0.555
0.261 0.618 0.345
0.264 0.624 0.140
0.264 0.886 0.650
0.487 0.893 0.041
0.491 0.896 0.264
0.495 0.595 0.951
0.497 0.588 0.740
0.503 0.088 0.760
0.505 0.095 0.549
0.509 0.396 0.236
0.513 0.393 0.459
0.736 0.124 0.360
0.736 0.386 0.850
0.739 0.118 0.155
0.740 0.114 0.945
0.760 0.886 0.445
0.761 0.882 0.655
0.764 0.614 0.350
0.764 0.876 0.860
0.987 0.607 0.959
0.991 0.604 0.736
0.995 0.905 0.049
0.997 0.912 0.260
```

Main lines, by angle (2θ from 10° to 80°):
| 2θ/deg | d [Å] | Rel. int. |
| --- | --- | --- |
| 12.9 | 6.888 | 44 |
| 25.7 | 3.465 | 43 |
| 26.7 | 3.335 | 38 |
| 27.9 | 3.194 | 100 |
| 30.5 | 2.934 | 26 |
| 45.0 | 2.013 | 28 |